# 1
In12HgPb4: theoretical PXRD pattern (copper Kα), based on a DFT-relaxed cell (PBE, Alexandria).
Peak positions follow from Bragg's law for the DFT cell and can differ from measured ones.

Structural model:
```
data_In12HgPb4
_chemical_formula_sum 'In12 Hg1 Pb4'
_cell_length_a 6.254
_cell_length_b 9.092
_cell_length_c 9.415
_cell_angle_alpha 75.06
_cell_angle_beta 78.32
_cell_angle_gamma 72.69
_symmetry_space_group_name_H-M 'P -1'
_symmetry_Int_Tables_number 2
loop_
_symmetry_equiv_pos_as_xyz
'x,y,z'
'-x,-y,-z'
loop_
_atom_site_label
_atom_site_type_symbol
_atom_site_fract_x
_atom_site_fract_y
_atom_site_fract_z
In1 In 0.091 0.353 0.394
In2 In 0.155 0.273 0.737
In3 In 0.232 0.764 0.761
In4 In 0.314 0.847 0.271
In5 In 0.400 0.165 0.083
In6 In 0.403 0.550 0.152
Hg1 Hg 0.000 0.000 0.500
Pb1 Pb 0.000 0.000 0.000
Pb2 Pb 0.000 0.500 0.000
Pb3 Pb 0.500 0.000 0.500
Pb4 Pb 0.500 0.500 0.500
```

Most intense lines, 2θ = 10–90°, in order of rising 2θ:
d_spacing, two_theta, I_rel, h k l
3.477, 25.62, 30, 0 2 2
2.999, 29.79, 72, -1 2 1
2.855, 31.33, 25, 1 3 0
2.820, 31.73, 96, 1 2 3
2.807, 31.88, 100, 0 2 -2
2.789, 32.09, 85, 2 2 0
2.643, 33.91, 91, 2 0 2
2.544, 35.28, 50, 1 0 -3
2.479, 36.24, 24, 2 3 1
2.267, 39.76, 42, 1 4 1
2.252, 40.04, 24, 0 0 4
1.739, 52.63, 25, 0 4 4

***

# 2
In6Hg3Pb: theoretical PXRD pattern (copper Kα), based on a DFT-relaxed cell (PBE, Alexandria).
Peak positions follow from Bragg's law for the DFT cell and can differ from measured ones.

Structural model:
```
data_In6Hg3Pb
_chemical_formula_sum 'In6 Hg3 Pb1'
_cell_length_a 4.7913
_cell_length_b 4.7913
_cell_length_c 14.5201
_cell_angle_alpha 90.00
_cell_angle_beta 90.00
_cell_angle_gamma 120.00
_symmetry_space_group_name_H-M 'P -3 m 1'
_symmetry_Int_Tables_number 164
_symmetry_space_group_name_Hall '-P 3 2"'
loop_
_atom_site_label
_atom_site_type_symbol
_atom_site_fract_x
_atom_site_fract_y
_atom_site_fract_z
In1 In 0.3333 0.6667 0.0888
In2 In 0.3333 0.6667 0.3818
In3 In 0.3333 0.6667 0.8048
Hg1 Hg 0.0000 0.0000 0.0000
Hg2 Hg 0.0000 0.0000 0.2782
Pb1 Pb 0.0000 0.0000 0.5000
```

Most intense lines, 2θ = 10–90°, in order of rising 2θ:
d_spacing, two_theta, I_rel, h k l
4.149, 21.41, 33, 1 0 0
3.150, 28.33, 46, 0 1 3
2.732, 32.78, 100, 0 1 4
2.396, 37.54, 91, 1 1 0
2.379, 37.81, 14, 0 1 5
1.907, 47.69, 11, 2 0 3
1.855, 49.10, 21, 1 0 7
1.801, 50.68, 30, 2 0 4
1.440, 64.75, 28, 1 2 4
1.383, 67.75, 16, 3 0 0
1.251, 76.08, 11, 2 1 7
1.097, 89.29, 13, 3 1 4

***

# 3
In11HgPb17: theoretical PXRD pattern (copper Kα), based on a DFT-relaxed cell (PBE, Alexandria).
Peak positions follow from Bragg's law for the DFT cell and can differ from measured ones.

Structural model:
```
data_In11HgPb17
_chemical_formula_sum 'In22 Hg2 Pb34'
_cell_length_a 12.007
_cell_length_b 16.611
_cell_length_c 10.198
_cell_angle_alpha 90.00
_cell_angle_beta 121.72
_cell_angle_gamma 90.00
_symmetry_space_group_name_H-M 'C 1 m 1'
_symmetry_Int_Tables_number 8
loop_
_symmetry_equiv_pos_as_xyz
'x,y,z'
'x,-y,z'
'x+1/2,y+1/2,z'
'x+1/2,-y+1/2,z'
loop_
_atom_site_label
_atom_site_type_symbol
_atom_site_fract_x
_atom_site_fract_y
_atom_site_fract_z
In1 In 0.000 0.000 0.000
In2 In 0.188 0.187 0.628
In3 In 0.278 0.095 0.190
In4 In 0.372 0.190 0.002
In5 In 0.418 0.407 0.455
In6 In 0.468 0.094 0.809
Hg1 Hg 0.326 0.500 0.643
Pb1 Pb 0.004 0.500 0.531
Pb2 Pb 0.029 0.171 0.828
Pb3 Pb 0.031 0.156 0.231
Pb4 Pb 0.128 0.349 0.407
Pb5 Pb 0.183 0.000 0.810
Pb6 Pb 0.199 0.000 0.482
Pb7 Pb 0.203 0.301 0.131
Pb8 Pb 0.241 0.364 0.816
Pb9 Pb 0.278 0.500 0.104
Pb10 Pb 0.396 0.208 0.503
Pb11 Pb 0.499 0.000 0.126
```

Most intense lines, 2θ = 10–90°, in order of rising 2θ:
d_spacing, two_theta, I_rel, h k l
2.998, 29.80, 36, 0 4 2
2.897, 30.86, 100, 3 3 0
2.820, 31.73, 61, 4 2 -2
2.815, 31.79, 33, 1 3 -3
2.778, 32.23, 37, 1 5 -2
2.768, 32.34, 37, 0 6 0
2.756, 32.49, 32, 3 3 -3
2.684, 33.39, 21, 3 1 1
2.553, 35.15, 12, 2 2 2
2.544, 35.29, 13, 3 5 -1
2.511, 35.76, 17, 3 5 -2
1.606, 57.38, 13, 3 7 2